1.
# Zr6TiTl3
Simulated powder diffraction line list, Cu Kα X-rays. Input: the PBE geometry in Alexandria.
Kinematic intensities with the Lorentz-polarization factor, no thermal factor.

Main lines, sorted by position (10° ≤ 2θ ≤ 90°):
20.98°, I 40
31.67°, I 56
33.80°, I 33
36.77°, I 100
40.12°, I 30
45.70°, I 35
49.30°, I 14
61.93°, I 14
64.34°, I 18
66.22°, I 16

Structural model:
a b c (Å): 6.1874 6.1874 6.1874
angles (deg): 86.35 86.35 86.35
Sites, in units of the cell vectors:
Zr1 0.0993 0.3929 0.7666
Zr2 0.2334 0.9007 0.6071
Zr3 0.3929 0.7666 0.0993
Zr4 0.6071 0.2334 0.9007
Zr5 0.7666 0.0993 0.3929
Zr6 0.9007 0.6071 0.2334
Ti1 0.0000 0.0000 0.0000
Tl1 0.2445 0.2445 0.2445
Tl2 0.5000 0.5000 0.5000
Tl3 0.7555 0.7555 0.7555

2.
# PaZnCo4H6
Simulated powder diffraction line list, Cu Kα X-rays. Input: the PBE geometry in Alexandria.
Kinematic intensities with the Lorentz-polarization factor, no thermal factor.

Main lines, sorted by position (10° ≤ 2θ ≤ 90°):
24.18°, I 28
27.88°, I 59
36.96°, I 100
41.81°, I 12
42.55°, I 68
51.63°, I 12
57.60°, I 27
61.18°, I 24
62.65°, I 15
74.19°, I 25

Structural model:
a b c (Å): 4.2496 4.2496 6.4811
angles (deg): 90.00 90.00 120.00
Sites, in units of the cell vectors:
Pa1 0.0000 0.0000 0.0000
Zn1 0.0000 0.0000 0.5000
Co1 0.3333 0.6667 0.3174
Co2 0.3333 0.6667 0.6826
Co3 0.6667 0.3333 0.3174
Co4 0.6667 0.3333 0.6826
H1 0.0000 0.5000 0.1466
H2 0.0000 0.5000 0.8534
H3 0.5000 0.0000 0.1466
H4 0.5000 0.0000 0.8534
H5 0.5000 0.5000 0.1466
H6 0.5000 0.5000 0.8534

Please write out number 2 again, unchanged.
# PaZnCo4H6
Simulated powder diffraction line list, Cu Kα X-rays. Input: the PBE geometry in Alexandria.
Kinematic intensities with the Lorentz-polarization factor, no thermal factor.

Main lines, sorted by position (10° ≤ 2θ ≤ 90°):
24.18°, I 28
27.88°, I 59
36.96°, I 100
41.81°, I 12
42.55°, I 68
51.63°, I 12
57.60°, I 27
61.18°, I 24
62.65°, I 15
74.19°, I 25

Structural model:
a b c (Å): 4.2496 4.2496 6.4811
angles (deg): 90.00 90.00 120.00
Sites, in units of the cell vectors:
Pa1 0.0000 0.0000 0.0000
Zn1 0.0000 0.0000 0.5000
Co1 0.3333 0.6667 0.3174
Co2 0.3333 0.6667 0.6826
Co3 0.6667 0.3333 0.3174
Co4 0.6667 0.3333 0.6826
H1 0.0000 0.5000 0.1466
H2 0.0000 0.5000 0.8534
H3 0.5000 0.0000 0.1466
H4 0.5000 0.0000 0.8534
H5 0.5000 0.5000 0.1466
H6 0.5000 0.5000 0.8534

Number 1 is which compound? Zr6TiTl3